Simulated powder diffractogram of Na2CoH8C2O10 for λ = 1.5418 Å (Cu Kα), from a GGA+U-relaxed structure.

Most intense lines, 2θ = 10–90°, in order of rising 2θ:
two_theta	I/Imax	hkl
12.4	82	0 0 2
16.1	69	1 1 0
16.7	31	1 1 -1
19.5	100	1 1 -2
21.2	73	1 1 2
28.6	53	1 1 -4
33.6	55	2 2 1
33.8	50	2 2 -2
35.9	72	2 2 2
40.8	64	2 0 -6

```
data_Na2CoH8C2O10
_symmetry_space_group_name_H-M 'C 1 2/c 1'
_symmetry_Int_Tables_number 15
_cell_length_a 8.6763
_cell_length_b 7.1992
_cell_length_c 14.4243
_cell_angle_alpha 90.00
_cell_angle_beta 97.60
_cell_angle_gamma 90.00
loop_
_symmetry_equiv_pos_as_xyz
'x,y,z'
'-x,-y,-z'
'-x,y,-z+1/2'
'x,-y,z+1/2'
'x+1/2,y+1/2,z'
'-x+1/2,-y+1/2,-z'
'-x+1/2,y+1/2,-z+1/2'
'x+1/2,-y+1/2,z+1/2'
loop_
_atom_site_label
_atom_site_type_symbol
_atom_site_fract_x
_atom_site_fract_y
_atom_site_fract_z
Na1 Na 0.0808 0.1750 0.4396
Co1 Co 0.0000 0.4621 0.2500
H1 H 0.0491 0.1960 0.8739
H2 H 0.1284 0.1591 0.6331
H3 H 0.1594 0.4498 0.0455
H4 H 0.1877 0.4437 0.9387
C1 C 0.2229 0.2463 0.2129
O1 O 0.0277 0.1212 0.5974
O2 O 0.1244 0.3384 0.1526
O3 O 0.1626 0.3440 0.8163
O4 O 0.1878 0.4740 0.4933
O5 O 0.2008 0.2538 0.2992
```